[1]
This entry pairs a crystal structure of LuAgW2O8 with its computed powder X-ray diffraction pattern. Radiation: Cu Kα. Structure: a PBE+U-relaxed structure.
Peak positions follow from Bragg's law for the DFT cell and can differ from measured ones.

Structure:
Cell: 9.9315 10.7091 7.2718 Å, 90.00 126.66 90.00°
Space group C2/m (No. 12)
Asymmetric unit:
1 Lu 0.0000 0.1986 0.0000 [4 per cell]
2 Ag 0.1825 0.0000 0.5199 [4 per cell]
3 W 0.0000 0.3340 0.5000 [4 per cell]
4 W 0.2115 0.5000 0.9671 [4 per cell]
5 O 0.0225 0.5000 0.3424 [4 per cell]
6 O 0.0456 0.2320 0.3444 [8 per cell]
7 O 0.0534 0.0000 0.8653 [4 per cell]
8 O 0.1679 0.3677 0.0818 [8 per cell]
9 O 0.2307 0.3728 0.7561 [8 per cell]

The 10 most intense peaks (2θ from 10° to 90°), in order of falling intensity:
- d = 3.196 Å, I = 100, (2 2 0)
- d = 2.979 Å, I = 50, (2 2 -2)
- d = 2.917 Å, I = 39, (0 0 2)
- d = 3.119 Å, I = 32, (3 1 -1)
- d = 2.588 Å, I = 23, (1 3 1)
- d = 1.973 Å, I = 19, (3 1 1)
- d = 1.791 Å, I = 18, (4 0 -4)
- d = 1.773 Å, I = 15, (2 2 2)
- d = 1.637 Å, I = 15, (5 3 -1)
- d = 2.145 Å, I = 13, (2 4 -2)


[2]
This entry pairs a crystal structure of MgMn4Ag4O16 with its computed powder X-ray diffraction pattern. Radiation: Cu Kα. Structure: a PBE+U-relaxed structure.
Peak positions follow from Bragg's law for the DFT cell and can differ from measured ones.

Structure:
Cell: 6.1850 6.9737 8.0480 Å, 90.00 87.01 89.01°
Space group P1 (No. 1)
Asymmetric unit:
1 Mg 0.0000 0.0000 0.0000 [1 per cell]
2 Mn 0.2483 0.1108 0.6462 [1 per cell]
3 Mn 0.2547 0.6066 0.8650 [1 per cell]
4 Mn 0.7565 0.6070 0.1359 [1 per cell]
5 Mn 0.7621 0.1118 0.3555 [1 per cell]
6 Ag 0.2563 0.3661 0.2566 [1 per cell]
7 Ag 0.2808 0.8517 0.2695 [1 per cell]
8 Ag 0.7301 0.8456 0.7292 [1 per cell]
9 Ag 0.7526 0.3635 0.7459 [1 per cell]
10 O 0.0113 0.1093 0.7733 [1 per cell]
11 O 0.0374 0.6101 0.7537 [1 per cell]
12 O 0.2430 0.3023 0.5256 [1 per cell]
13 O 0.2470 0.8085 0.9898 [1 per cell]
14 O 0.2481 0.9114 0.5339 [1 per cell]
15 O 0.2530 0.4131 0.9864 [1 per cell]
16 O 0.4712 0.1094 0.7519 [1 per cell]
17 O 0.4849 0.6039 0.7461 [1 per cell]
18 O 0.5262 0.6078 0.2547 [1 per cell]
19 O 0.5396 0.1160 0.2490 [1 per cell]
20 O 0.7606 0.8083 0.0102 [1 per cell]
21 O 0.7620 0.4119 0.0155 [1 per cell]
22 O 0.7638 0.9115 0.4664 [1 per cell]
23 O 0.7665 0.3031 0.4764 [1 per cell]
24 O 0.9738 0.6082 0.2474 [1 per cell]
25 O 0.9993 0.1045 0.2283 [1 per cell]

The 10 most intense peaks (2θ from 10° to 90°), in order of falling intensity:
- d = 3.087 Å, I = 100, (2 0 0)
- d = 4.018 Å, I = 90, (0 0 2)
- d = 2.883 Å, I = 70, (1 2 1)
- d = 2.846 Å, I = 68, (1 -2 1)
- d = 2.835 Å, I = 65, (1 2 -1)
- d = 2.798 Å, I = 62, (-1 2 1)
- d = 2.507 Å, I = 44, (1 0 3)
- d = 5.267 Å, I = 44, (0 1 -1)
- d = 4.778 Å, I = 42, (1 0 -1)
- d = 1.743 Å, I = 38, (0 4 0)